For HoSc2Hg5, a GGA-PBE-relaxed structure gives the calculated powder X-ray diffraction pattern in this record (Cu Kα, 1.54184 Å).
Neutral-atom scattering factors, no anomalous dispersion.

Unit cell a=5.0080 b=5.0080 c=14.4601 alpha=90.00 beta=90.00 gamma=90.00
Fractional coordinates of all 16 atoms:
1 Ho 0.0000 0.0000 0.0000
2 Ho 0.5000 0.5000 0.5000
3 Sc 0.0000 0.0000 0.2614
4 Sc 0.0000 0.0000 0.7386
5 Sc 0.5000 0.5000 0.2386
6 Sc 0.5000 0.5000 0.7614
7 Hg 0.0000 0.0000 0.5000
8 Hg 0.0000 0.5000 0.1320
9 Hg 0.0000 0.5000 0.3680
10 Hg 0.0000 0.5000 0.6320
11 Hg 0.0000 0.5000 0.8680
12 Hg 0.5000 0.0000 0.1320
13 Hg 0.5000 0.0000 0.3680
14 Hg 0.5000 0.0000 0.6320
15 Hg 0.5000 0.0000 0.8680
16 Hg 0.5000 0.5000 0.0000

Top 12 peaks for 2θ from 10° to 90°, in order of rising 2θ:
2θ 12.2, 7.230 Å, I = 8; 2θ 25.1, 3.541 Å, I = 9; 2θ 28.1, 3.180 Å, I = 14; 2θ 35.5, 2.530 Å, I = 100; 2θ 35.9, 2.504 Å, I = 50; 2θ 50.5, 1.808 Å, I = 9; 2θ 51.6, 1.771 Å, I = 18; 2θ 63.5, 1.466 Å, I = 17; 2θ 64.2, 1.451 Å, I = 36; 2θ 75.1, 1.265 Å, I = 11; 2θ 86.8, 1.122 Å, I = 8; 2θ 87.0, 1.120 Å, I = 9

***

For Ho2ScHg4, a GGA-PBE-relaxed structure gives the calculated powder X-ray diffraction pattern in this record (Cu Kα, 1.54184 Å).
Neutral-atom scattering factors, no anomalous dispersion.

Unit cell a=9.0627 b=9.0627 c=9.0627 alpha=31.83 beta=31.83 gamma=31.83
Fractional coordinates of all 7 atoms:
1 Ho 0.2463 0.2463 0.2463
2 Ho 0.7537 0.7537 0.7537
3 Sc 0.0000 0.0000 0.0000
4 Hg 0.1274 0.1274 0.1274
5 Hg 0.3710 0.3710 0.3710
6 Hg 0.6290 0.6290 0.6290
7 Hg 0.8726 0.8726 0.8726

Top 12 peaks for 2θ from 10° to 90°, in order of rising 2θ:
2θ 21.8, 4.083 Å, I = 24; 2θ 24.9, 3.580 Å, I = 32; 2θ 34.8, 2.580 Å, I = 100; 2θ 36.1, 2.485 Å, I = 93; 2θ 51.0, 1.790 Å, I = 34; 2θ 61.4, 1.509 Å, I = 18; 2θ 64.1, 1.453 Å, I = 34; 2θ 65.0, 1.435 Å, I = 17; 2θ 73.4, 1.290 Å, I = 11; 2θ 76.7, 1.243 Å, I = 11; 2θ 84.6, 1.145 Å, I = 15; 2θ 87.0, 1.120 Å, I = 16

***

For HoSc3Hg2, a GGA-PBE-relaxed structure gives the calculated powder X-ray diffraction pattern in this record (Cu Kα, 1.54184 Å).
Neutral-atom scattering factors, no anomalous dispersion.

Unit cell a=4.8770 b=8.7046 c=6.7425 alpha=90.00 beta=90.00 gamma=90.00
Fractional coordinates of all 12 atoms:
1 Ho 0.0000 0.0500 0.0000
2 Ho 0.0000 0.9500 0.5000
3 Sc 0.0000 0.3304 0.6627
4 Sc 0.0000 0.6696 0.1627
5 Sc 0.5000 0.1822 0.3104
6 Sc 0.5000 0.4506 0.9711
7 Sc 0.5000 0.5494 0.4711
8 Sc 0.5000 0.8178 0.8104
9 Hg 0.0000 0.3509 0.2326
10 Hg 0.0000 0.6491 0.7326
11 Hg 0.5000 0.1539 0.7408
12 Hg 0.5000 0.8461 0.2408

Top 12 peaks for 2θ from 10° to 90°, in order of rising 2θ:
2θ 10.2, 8.705 Å, I = 20; 2θ 24.3, 3.657 Å, I = 54; 2θ 24.7, 3.598 Å, I = 73; 2θ 33.6, 2.665 Å, I = 35; 2θ 33.9, 2.642 Å, I = 100; 2θ 36.0, 2.494 Å, I = 74; 2θ 36.9, 2.438 Å, I = 48; 2θ 44.7, 2.029 Å, I = 23; 2θ 45.2, 2.005 Å, I = 22; 2θ 45.4, 1.997 Å, I = 18; 2θ 45.7, 1.987 Å, I = 19; 2θ 50.7, 1.799 Å, I = 22

***

For HoSc2Hg3, a GGA-PBE-relaxed structure gives the calculated powder X-ray diffraction pattern in this record (Cu Kα, 1.54184 Å).
Neutral-atom scattering factors, no anomalous dispersion.

Unit cell a=3.5812 b=3.5812 c=10.7694 alpha=90.00 beta=90.00 gamma=90.00
Fractional coordinates of all 6 atoms:
1 Ho 0.0000 0.0000 0.0000
2 Sc 0.0000 0.0000 0.3395
3 Sc 0.0000 0.0000 0.6605
4 Hg 0.5000 0.5000 0.1810
5 Hg 0.5000 0.5000 0.5000
6 Hg 0.5000 0.5000 0.8190

Top 12 peaks for 2θ from 10° to 90°, in order of rising 2θ:
2θ 24.8, 3.584 Å, I = 20; 2θ 26.2, 3.398 Å, I = 4; 2θ 30.0, 2.982 Å, I = 5; 2θ 35.4, 2.534 Å, I = 100; 2θ 43.7, 2.069 Å, I = 6; 2θ 50.9, 1.795 Å, I = 5; 2θ 51.0, 1.791 Å, I = 12; 2θ 57.5, 1.603 Å, I = 5; 2θ 63.6, 1.463 Å, I = 35; 2θ 74.9, 1.268 Å, I = 7; 2θ 85.6, 1.135 Å, I = 4; 2θ 85.8, 1.133 Å, I = 11

***

For Ho4HgSe2, a GGA-PBE-relaxed structure gives the calculated powder X-ray diffraction pattern in this record (Cu Kα, 1.54184 Å).
Neutral-atom scattering factors, no anomalous dispersion.

Unit cell a=14.3802 b=14.3802 c=14.3802 alpha=15.55 beta=15.55 gamma=15.55
Fractional coordinates of all 7 atoms:
1 Ho 0.1339 0.1339 0.1339
2 Ho 0.2839 0.2839 0.2839
3 Ho 0.7161 0.7161 0.7161
4 Ho 0.8661 0.8661 0.8661
5 Hg 0.0000 0.0000 0.0000
6 Se 0.4244 0.4244 0.4244
7 Se 0.5756 0.5756 0.5756

Top 12 peaks for 2θ from 10° to 90°, in order of rising 2θ:
2θ 26.5, 3.358 Å, I = 6; 2θ 30.3, 2.948 Å, I = 100; 2θ 31.4, 2.845 Å, I = 15; 2θ 39.9, 2.258 Å, I = 40; 2θ 44.7, 2.029 Å, I = 7; 2θ 46.7, 1.945 Å, I = 32; 2θ 56.7, 1.623 Å, I = 18; 2θ 57.4, 1.605 Å, I = 8; 2θ 63.1, 1.474 Å, I = 11; 2θ 66.6, 1.404 Å, I = 13; 2θ 76.4, 1.246 Å, I = 15; 2θ 82.0, 1.175 Å, I = 12

***

For Ho7HgSe5, a GGA-PBE-relaxed structure gives the calculated powder X-ray diffraction pattern in this record (Cu Kα, 1.54184 Å).
Neutral-atom scattering factors, no anomalous dispersion.

Unit cell a=6.9633 b=6.9633 c=24.1889 alpha=90.00 beta=90.00 gamma=146.32
Fractional coordinates of all 26 atoms:
1 Ho 0.0238 0.9762 0.7500
2 Ho 0.1384 0.8616 0.0361
3 Ho 0.1384 0.8616 0.4639
4 Ho 0.3151 0.6849 0.6778
5 Ho 0.3151 0.6849 0.8222
6 Ho 0.4068 0.5932 0.1134
7 Ho 0.4068 0.5932 0.3866
8 Ho 0.5932 0.4068 0.6134
9 Ho 0.5932 0.4068 0.8866
10 Ho 0.6849 0.3151 0.1778
11 Ho 0.6849 0.3151 0.3222
12 Ho 0.8616 0.1384 0.5361
13 Ho 0.8616 0.1384 0.9639
14 Ho 0.9762 0.0238 0.2500
15 Hg 0.3034 0.6966 0.2500
16 Hg 0.6966 0.3034 0.7500
17 Se 0.0487 0.9513 0.1408
18 Se 0.0487 0.9513 0.3592
19 Se 0.2252 0.7748 0.5714
20 Se 0.2252 0.7748 0.9286
21 Se 0.5000 0.5000 0.0000
22 Se 0.5000 0.5000 0.5000
23 Se 0.7748 0.2252 0.0714
24 Se 0.7748 0.2252 0.4286
25 Se 0.9513 0.0487 0.6408
26 Se 0.9513 0.0487 0.8592

Top 12 peaks for 2θ from 10° to 90°, in order of rising 2θ:
2θ 29.1, 3.068 Å, I = 75; 2θ 29.6, 3.019 Å, I = 19; 2θ 30.8, 2.900 Å, I = 100; 2θ 32.0, 2.801 Å, I = 61; 2θ 32.5, 2.753 Å, I = 21; 2θ 34.8, 2.574 Å, I = 15; 2θ 40.9, 2.206 Å, I = 34; 2θ 44.2, 2.050 Å, I = 20; 2θ 44.9, 2.019 Å, I = 83; 2θ 54.4, 1.685 Å, I = 27; 2θ 65.4, 1.427 Å, I = 15; 2θ 73.4, 1.290 Å, I = 17